Structure and computed XRD peak list of CsCu12As4 (a GGA-PBE-relaxed structure; Cu Kα (λ = 1.5418 Å)).
Kinematic intensities with the Lorentz-polarization factor, no thermal factor.

Largest 12 diffraction maxima, by intensity, 2θ from 15° to 90°:
Position (°2θ), I_rel
44.76, 100
25.40, 80
52.16, 37
82.52, 25
47.33, 23
29.41, 20
69.17, 11
76.89, 9
63.11, 7
71.13, 6
58.89, 5
49.79, 5

Atomic structure:
a = 7.4393 Å, b = 7.4393 Å, c = 7.4393 Å
α = 109.47°, β = 109.47°, γ = 109.47°
Fractional positions:
Cs 0.0000 0.0000 0.0000
Cu 0.0000 0.3479 0.6521
Cu 0.0000 0.6521 0.3479
Cu 0.3043 0.6521 0.6521
Cu 0.3479 0.0000 0.6521
Cu 0.3479 0.3479 0.6957
Cu 0.3479 0.6521 0.0000
Cu 0.3479 0.6957 0.3479
Cu 0.6521 0.0000 0.3479
Cu 0.6521 0.3043 0.6521
Cu 0.6521 0.3479 0.0000
Cu 0.6521 0.6521 0.3043
Cu 0.6957 0.3479 0.3479
As 0.0000 0.0000 0.5000
As 0.0000 0.5000 0.0000
As 0.5000 0.0000 0.0000
As 0.5000 0.5000 0.5000


Structure and computed XRD peak list of CsGaCuAs2 (a GGA-PBE-relaxed structure; Cu Kα (λ = 1.5418 Å)).
Kinematic intensities with the Lorentz-polarization factor, no thermal factor.

Largest 12 diffraction maxima, by intensity, 2θ from 15° to 90°:
Position (°2θ), I_rel
28.51, 100
25.68, 35
30.51, 30
47.07, 25
37.46, 22
41.38, 18
52.15, 17
48.40, 15
62.20, 14
32.50, 13
51.06, 12
52.78, 11

Atomic structure:
a = 7.0979 Å, b = 7.0979 Å, c = 6.6528 Å
α = 90.00°, β = 90.00°, γ = 121.49°
Fractional positions:
Cs 0.2500 0.7500 0.7649
Cs 0.7500 0.2500 0.2351
Ga 0.2500 0.2500 0.5000
Ga 0.7500 0.7500 0.5000
Cu 0.0000 0.0000 0.0000
Cu 0.5000 0.5000 0.0000
As 0.0993 0.9007 0.2962
As 0.4007 0.5993 0.2962
As 0.5993 0.4007 0.7038
As 0.9007 0.0993 0.7038


Structure and computed XRD peak list of CsMnCuAs2 (a GGA-PBE-relaxed structure; Cu Kα (λ = 1.5418 Å)).
Kinematic intensities with the Lorentz-polarization factor, no thermal factor.

Largest 12 diffraction maxima, by intensity, 2θ from 15° to 90°:
Position (°2θ), I_rel
28.09, 100
32.28, 21
46.89, 20
33.45, 20
45.70, 18
42.84, 15
55.04, 15
57.12, 12
36.22, 11
58.08, 11
22.40, 11
60.22, 10

Atomic structure:
a = 8.4076 Å, b = 8.4076 Å, c = 5.6917 Å
α = 90.00°, β = 90.00°, γ = 141.48°
Fractional positions:
Cs 0.2500 0.7500 0.7712
Cs 0.7500 0.2500 0.2288
Mn 0.2500 0.2500 0.5000
Mn 0.7500 0.7500 0.5000
Cu 0.0000 0.0000 0.0000
Cu 0.5000 0.5000 0.0000
As 0.0997 0.9003 0.3052
As 0.4003 0.5997 0.3052
As 0.5997 0.4003 0.6948
As 0.9003 0.0997 0.6948